Starting from a DFT-relaxed cell (PBE, Alexandria), the powder diffractogram of Ho12MgSc7 was calculated for Cu Kα (λ = 1.5418 Å).

```
Ho12MgSc7
1.0
7.156 4.132 3.239
-7.156 4.132 3.239
0.000 -8.263 3.239
Ho Mg Sc
12 1 7
Cartesian
-1.564 -5.093 3.818 Ho
-2.122 0.469 2.419 Ho
-5.192 -1.192 5.900 Ho
0.655 -2.072 2.419 Ho
-3.629 3.901 3.818 Ho
1.467 1.603 2.419 Ho
-1.467 -1.603 7.299 Ho
3.629 -3.901 5.900 Ho
-0.655 2.072 7.299 Ho
5.192 1.192 3.818 Ho
2.122 -0.469 7.299 Ho
1.564 5.093 5.900 Ho
0.000 0.000 4.859 Mg
0.000 0.000 0.000 Sc
-2.411 -2.151 4.302 Sc
-3.068 1.012 5.416 Sc
0.657 -3.163 5.416 Sc
-0.657 3.163 4.302 Sc
3.068 -1.012 4.302 Sc
2.411 2.151 5.416 Sc
```

Most intense lines, 2θ from 10° to 90°, in order of rising 2θ:
2θ (°), d (Å), I (rel.)
24.88, 3.578, 17
27.52, 3.241, 23
30.28, 2.952, 100
31.89, 2.806, 32
32.82, 2.729, 31
33.12, 2.705, 24
34.32, 2.613, 24
35.20, 2.549, 20
37.45, 2.401, 21
52.53, 1.742, 17
54.20, 1.692, 17
56.02, 1.642, 21